Theoretical powder diffractogram of K4HgPb4 for a wavelength of 1.5418 Å, from the GGA-PBE geometry in Alexandria.

Cell and atoms:
Unit cell a=11.944 b=11.944 c=11.944 alpha=151.66 beta=151.66 gamma=40.51
Fractional coordinates of all 9 atoms:
K (0.115, 0.664, 0.000)
K (0.336, 0.336, 0.451)
K (0.664, 0.115, 0.000)
K (0.885, 0.885, 0.549)
Hg (0.500, 0.500, 0.000)
Pb (0.064, 0.064, 0.559)
Pb (0.495, 0.936, 0.000)
Pb (0.505, 0.505, 0.441)
Pb (0.936, 0.495, 0.000)

Main lines, low angle first (2θ = 10–90°):
2θ/deg	intensity
15.66	29
15.82	50
26.79	92
30.57	35
31.62	93
32.30	100
38.83	36
55.44	34

***

Theoretical powder diffractogram of KHgPd2Pb2 for a wavelength of 1.5418 Å, from the GGA-PBE geometry in Alexandria.

Cell and atoms:
Unit cell a=5.184 b=5.184 c=6.437 alpha=90.00 beta=90.00 gamma=90.00
Fractional coordinates of all 6 atoms:
K (0.000, 0.000, 0.000)
Hg (0.000, 0.000, 0.500)
Pd (0.000, 0.500, 0.500)
Pd (0.500, 0.000, 0.500)
Pb (0.500, 0.500, 0.257)
Pb (0.500, 0.500, 0.743)

Main lines, low angle first (2θ = 10–90°):
2θ/deg	intensity
13.76	72
24.28	46
32.75	100
34.61	77
37.18	25
37.40	26
48.39	68
49.75	28

***

Theoretical powder diffractogram of K2Hg6PtPb for a wavelength of 1.5418 Å, from the GGA-PBE geometry in Alexandria.

Cell and atoms:
Unit cell a=7.955 b=10.012 c=8.327 alpha=90.00 beta=90.00 gamma=90.00
Fractional coordinates of all 20 atoms:
K (0.250, 0.038, 0.247)
K (0.250, 0.462, 0.247)
K (0.750, 0.538, 0.753)
K (0.750, 0.962, 0.753)
Hg (0.038, 0.250, 0.628)
Hg (0.066, 0.750, 0.987)
Hg (0.250, 0.510, 0.803)
Hg (0.250, 0.990, 0.803)
Hg (0.434, 0.750, 0.987)
Hg (0.462, 0.250, 0.628)
Hg (0.538, 0.750, 0.372)
Hg (0.566, 0.250, 0.013)
Hg (0.750, 0.010, 0.197)
Hg (0.750, 0.490, 0.197)
Hg (0.934, 0.250, 0.013)
Hg (0.962, 0.750, 0.372)
Pt (0.250, 0.250, 0.890)
Pt (0.750, 0.750, 0.110)
Pb (0.250, 0.750, 0.593)
Pb (0.750, 0.250, 0.407)

Main lines, low angle first (2θ = 10–90°):
2θ/deg	intensity
15.40	100
17.72	55
27.87	55
32.39	55
35.88	48
36.68	52
41.43	39
45.00	35

***

Theoretical powder diffractogram of KHgPbSe2 for a wavelength of 1.5418 Å, from the GGA-PBE geometry in Alexandria.

Cell and atoms:
Unit cell a=7.270 b=6.038 c=8.246 alpha=90.00 beta=109.88 gamma=90.00
Fractional coordinates of all 10 atoms:
K (0.000, 0.181, 0.250)
K (0.000, 0.819, 0.750)
Hg (0.500, 0.000, 0.000)
Hg (0.500, 0.000, 0.500)
Pb (0.500, 0.416, 0.750)
Pb (0.500, 0.584, 0.250)
Se (0.221, 0.333, 0.983)
Se (0.221, 0.667, 0.483)
Se (0.779, 0.333, 0.517)
Se (0.779, 0.667, 0.017)

Main lines, low angle first (2θ = 10–90°):
2θ/deg	intensity
12.95	100
24.91	32
26.70	55
27.34	27
32.05	43
32.42	26
33.65	36
35.96	26

***

Theoretical powder diffractogram of KHgTe3Pb for a wavelength of 1.5418 Å, from the GGA-PBE geometry in Alexandria.

Cell and atoms:
Unit cell a=9.532 b=4.472 c=10.682 alpha=90.00 beta=102.22 gamma=90.00
Fractional coordinates of all 12 atoms:
K (0.222, 0.250, 0.271)
K (0.778, 0.750, 0.729)
Hg (0.075, 0.250, 0.634)
Hg (0.925, 0.750, 0.366)
Te (0.072, 0.250, 0.903)
Te (0.218, 0.750, 0.540)
Te (0.469, 0.750, 0.177)
Te (0.531, 0.250, 0.823)
Te (0.782, 0.250, 0.460)
Te (0.928, 0.750, 0.097)
Pb (0.326, 0.750, 0.892)
Pb (0.674, 0.250, 0.108)

Main lines, low angle first (2θ = 10–90°):
2θ/deg	intensity
11.31	98
27.69	100
29.23	40
32.41	46
40.33	25
41.18	16
42.03	27
50.58	17

***

Theoretical powder diffractogram of K4Hg4Pd for a wavelength of 1.5418 Å, from the GGA-PBE geometry in Alexandria.

Cell and atoms:
Unit cell a=9.949 b=9.949 c=6.764 alpha=90.00 beta=90.00 gamma=90.00
Fractional coordinates of all 18 atoms:
K (0.048, 0.749, 0.071)
K (0.249, 0.952, 0.571)
K (0.251, 0.548, 0.571)
K (0.452, 0.751, 0.071)
K (0.548, 0.249, 0.929)
K (0.749, 0.452, 0.429)
K (0.751, 0.048, 0.429)
K (0.952, 0.251, 0.929)
Hg (0.070, 0.250, 0.427)
Hg (0.250, 0.070, 0.073)
Hg (0.250, 0.430, 0.073)
Hg (0.430, 0.250, 0.427)
Hg (0.570, 0.750, 0.573)
Hg (0.750, 0.570, 0.927)
Hg (0.750, 0.930, 0.927)
Hg (0.930, 0.750, 0.573)
Pd (0.250, 0.250, 0.750)
Pd (0.750, 0.750, 0.250)

Main lines, low angle first (2θ = 10–90°):
2θ/deg	intensity
12.58	97
22.18	69
25.32	37
31.36	100
33.28	35
35.12	34
38.00	36
55.55	35

***

Theoretical powder diffractogram of K3Hg2Pd for a wavelength of 1.5418 Å, from the GGA-PBE geometry in Alexandria.

Cell and atoms:
Unit cell a=13.676 b=4.718 c=13.774 alpha=90.00 beta=90.00 gamma=90.00
Fractional coordinates of all 24 atoms:
K (0.054, 0.250, 0.122)
K (0.109, 0.750, 0.550)
K (0.216, 0.250, 0.782)
K (0.284, 0.750, 0.282)
K (0.391, 0.250, 0.050)
K (0.446, 0.750, 0.622)
K (0.554, 0.250, 0.378)
K (0.609, 0.750, 0.950)
K (0.716, 0.250, 0.718)
K (0.784, 0.750, 0.218)
K (0.891, 0.250, 0.450)
K (0.946, 0.750, 0.878)
Hg (0.031, 0.750, 0.310)
Hg (0.204, 0.750, 0.976)
Hg (0.296, 0.250, 0.476)
Hg (0.469, 0.250, 0.810)
Hg (0.531, 0.750, 0.190)
Hg (0.704, 0.750, 0.524)
Hg (0.796, 0.250, 0.024)
Hg (0.969, 0.250, 0.690)
Pd (0.127, 0.250, 0.366)
Pd (0.373, 0.750, 0.866)
Pd (0.627, 0.250, 0.134)
Pd (0.873, 0.750, 0.634)

Main lines, low angle first (2θ = 10–90°):
2θ/deg	intensity
14.43	100
18.28	95
20.40	69
20.94	75
27.10	69
27.94	63
34.93	56
38.16	79

***

Theoretical powder diffractogram of K3Hg7Pd2 for a wavelength of 1.5418 Å, from the GGA-PBE geometry in Alexandria.

Cell and atoms:
Unit cell a=13.193 b=13.193 c=5.373 alpha=90.00 beta=90.00 gamma=156.56
Fractional coordinates of all 12 atoms:
K (0.000, 0.000, 0.000)
K (0.188, 0.812, 0.000)
K (0.812, 0.188, 0.000)
Hg (0.100, 0.900, 0.500)
Hg (0.286, 0.714, 0.500)
Hg (0.401, 0.599, 0.000)
Hg (0.500, 0.500, 0.500)
Hg (0.599, 0.401, 0.000)
Hg (0.714, 0.286, 0.500)
Hg (0.900, 0.100, 0.500)
Pd (0.395, 0.605, 0.500)
Pd (0.605, 0.395, 0.500)

Main lines, low angle first (2θ = 10–90°):
2θ/deg	intensity
16.50	28
16.89	17
29.20	100
33.39	67
34.72	24
47.95	24
48.94	37
60.55	20